(1)
For Ti3Ga2Pt2, a DFT-relaxed cell (PBE, Alexandria) gives the simulated powder diffraction line list in this record (Cu Kα X-rays).
Lines closer than 0.1° are merged.

Peak list (10 most intense, 15° ≤ 2θ ≤ 90°, in order of falling intensity)
| 2theta | I (rel.) |
| --- | --- |
| 40.81 | 100 |
| 25.59 | 65 |
| 38.94 | 64 |
| 48.57 | 50 |
| 42.43 | 49 |
| 19.61 | 47 |
| 31.34 | 40 |
| 42.75 | 40 |
| 55.69 | 35 |
| 34.40 | 34 |

Atomic structure:
```
Ti3Ga2Pt2
1.0
-1.445 2.131 9.053
1.445 -2.131 9.053
1.445 2.131 -9.053
Ti Ga Pt
3 2 2
Direct
0.000 0.000 0.000
0.298 0.798 0.500
0.702 0.202 0.500
0.432 0.432 0.000
0.568 0.568 0.000
0.150 0.650 0.500
0.850 0.350 0.500
```

***

(2)
For Pu3BN6, a DFT-relaxed cell (PBE, Alexandria) gives the simulated powder diffraction line list in this record (Cu Kα X-rays).
Lines closer than 0.1° are merged.

Peak list (10 most intense, 15° ≤ 2θ ≤ 90°, in order of falling intensity)
| 2theta | I (rel.) |
| --- | --- |
| 31.60 | 100 |
| 21.99 | 34 |
| 31.82 | 29 |
| 32.33 | 20 |
| 48.63 | 20 |
| 49.11 | 17 |
| 35.95 | 16 |
| 51.77 | 13 |
| 23.99 | 13 |
| 61.37 | 12 |

Atomic structure:
```
Pu3BN6
1.0
4.387 -5.538 0.000
4.387 5.538 0.000
0.000 0.000 4.997
Pu B N
6 2 12
Direct
0.109 0.891 0.500
0.196 0.424 0.468
0.424 0.196 0.968
0.576 0.804 0.468
0.804 0.576 0.968
0.891 0.109 0.000
0.302 0.698 0.900
0.698 0.302 0.400
0.091 0.623 0.765
0.141 0.177 0.732
0.177 0.141 0.232
0.292 0.708 0.224
0.377 0.909 0.765
0.434 0.566 0.773
0.566 0.434 0.273
0.623 0.091 0.265
0.708 0.292 0.724
0.823 0.859 0.732
0.859 0.823 0.232
0.909 0.377 0.265
```

***

(3)
For SrH6PdPt, a DFT-relaxed cell (PBE, Alexandria) gives the simulated powder diffraction line list in this record (Cu Kα X-rays).
Lines closer than 0.1° are merged.

Peak list (10 most intense, 15° ≤ 2θ ≤ 90°, in order of falling intensity)
| 2theta | I (rel.) |
| --- | --- |
| 28.38 | 100 |
| 35.84 | 64 |
| 54.39 | 40 |
| 19.46 | 31 |
| 41.10 | 27 |
| 46.33 | 26 |
| 59.92 | 24 |
| 20.46 | 16 |
| 39.50 | 16 |
| 78.25 | 14 |

Atomic structure:
```
SrH6PdPt
1.0
5.012 0.000 0.000
-2.506 4.340 0.000
0.000 0.000 4.563
Sr H Pd Pt
1 6 1 1
Direct
0.000 0.000 0.000
0.419 0.020 0.709
0.419 0.399 0.291
0.601 0.020 0.291
0.601 0.581 0.709
0.980 0.399 0.709
0.980 0.581 0.291
0.333 0.667 0.500
0.667 0.333 0.500
```

***

(4)
For LaY2TmTh, a DFT-relaxed cell (PBE, Alexandria) gives the simulated powder diffraction line list in this record (Cu Kα X-rays).
Lines closer than 0.1° are merged.

Peak list (10 most intense, 15° ≤ 2θ ≤ 90°, in order of falling intensity)
| 2theta | I (rel.) |
| --- | --- |
| 31.56 | 100 |
| 20.25 | 26 |
| 61.24 | 16 |
| 34.53 | 15 |
| 56.24 | 15 |
| 36.30 | 13 |
| 32.54 | 13 |
| 37.83 | 11 |
| 43.23 | 11 |
| 18.65 | 11 |

Atomic structure:
```
LaY2TmTh
1.0
3.533 0.000 0.000
0.000 5.662 0.000
0.000 0.000 8.770
La Y Tm Th
1 2 1 1
Direct
0.000 0.000 0.000
0.000 0.500 0.322
0.000 0.500 0.678
0.500 0.000 0.500
0.500 0.500 0.000
```

***

(5)
For ErZn4Ag8, a DFT-relaxed cell (PBE, Alexandria) gives the simulated powder diffraction line list in this record (Cu Kα X-rays).
Lines closer than 0.1° are merged.

Peak list (10 most intense, 15° ≤ 2θ ≤ 90°, in order of falling intensity)
| 2theta | I (rel.) |
| --- | --- |
| 38.69 | 100 |
| 33.39 | 50 |
| 38.52 | 47 |
| 39.19 | 44 |
| 43.89 | 39 |
| 33.96 | 26 |
| 69.80 | 24 |
| 63.93 | 22 |
| 70.14 | 22 |
| 43.44 | 17 |

Atomic structure:
```
ErZn4Ag8
1.0
-4.674 4.674 2.640
4.674 -4.674 2.640
4.674 4.674 -2.640
Er Zn Ag
1 4 8
Direct
0.000 0.000 0.000
0.000 0.000 0.500
0.000 0.500 0.000
0.500 0.000 0.000
0.500 0.500 0.500
0.000 0.345 0.345
0.000 0.655 0.655
0.286 0.500 0.786
0.345 0.000 0.345
0.500 0.286 0.786
0.500 0.714 0.214
0.655 0.000 0.655
0.714 0.500 0.214
```

***

(6)
For Ac3AlZn6Ga2, a DFT-relaxed cell (PBE, Alexandria) gives the simulated powder diffraction line list in this record (Cu Kα X-rays).
Lines closer than 0.1° are merged.

Peak list (10 most intense, 15° ≤ 2θ ≤ 90°, in order of falling intensity)
| 2theta | I (rel.) |
| --- | --- |
| 27.81 | 100 |
| 34.07 | 86 |
| 39.14 | 85 |
| 26.99 | 79 |
| 19.28 | 50 |
| 36.57 | 49 |
| 48.69 | 34 |
| 55.10 | 32 |
| 57.45 | 30 |
| 29.90 | 26 |

Atomic structure:
```
Ac3AlZn6Ga2
1.0
6.416 0.000 0.000
-3.208 5.556 0.000
0.000 0.000 8.218
Ac Al Zn Ga
3 1 6 2
Direct
0.000 0.000 0.000
0.333 0.667 0.719
0.667 0.333 0.281
0.000 0.000 0.500
0.196 0.392 0.356
0.196 0.804 0.356
0.392 0.196 0.644
0.608 0.804 0.356
0.804 0.196 0.644
0.804 0.608 0.644
0.333 0.667 0.103
0.667 0.333 0.897
```

***

(7)
For MgAl3Au2, a DFT-relaxed cell (PBE, Alexandria) gives the simulated powder diffraction line list in this record (Cu Kα X-rays).
Lines closer than 0.1° are merged.

Peak list (10 most intense, 15° ≤ 2θ ≤ 90°, in order of falling intensity)
| 2theta | I (rel.) |
| --- | --- |
| 25.72 | 100 |
| 36.97 | 83 |
| 25.04 | 73 |
| 42.73 | 71 |
| 28.45 | 59 |
| 26.75 | 50 |
| 46.62 | 32 |
| 53.33 | 29 |
| 45.86 | 23 |
| 67.47 | 22 |

Atomic structure:
```
MgAl3Au2
1.0
3.957 0.000 0.000
0.000 8.107 0.000
0.000 0.000 6.666
Mg Al Au
2 6 4
Direct
0.000 0.085 0.000
0.000 0.915 0.500
0.000 0.302 0.598
0.000 0.698 0.098
0.500 0.198 0.313
0.500 0.409 0.912
0.500 0.591 0.412
0.500 0.802 0.813
0.000 0.399 0.216
0.000 0.601 0.716
0.500 0.111 0.701
0.500 0.889 0.201
```

***

(8)
For Nd12Zn2Ga5, a DFT-relaxed cell (PBE, Alexandria) gives the simulated powder diffraction line list in this record (Cu Kα X-rays).
Lines closer than 0.1° are merged.

Peak list (10 most intense, 15° ≤ 2θ ≤ 90°, in order of falling intensity)
| 2theta | I (rel.) |
| --- | --- |
| 30.38 | 100 |
| 32.72 | 70 |
| 32.50 | 64 |
| 31.84 | 56 |
| 25.82 | 46 |
| 32.23 | 46 |
| 33.78 | 34 |
| 47.41 | 30 |
| 41.40 | 24 |
| 34.04 | 24 |

Atomic structure:
```
Nd12Zn2Ga5
1.0
7.906 -3.835 0.000
7.906 3.835 0.000
-0.321 0.000 9.168
Nd Zn Ga
12 2 5
Direct
0.031 0.031 0.199
0.096 0.614 0.053
0.100 0.547 0.627
0.386 0.904 0.947
0.449 0.449 0.321
0.453 0.900 0.373
0.547 0.100 0.627
0.551 0.551 0.679
0.614 0.096 0.053
0.900 0.453 0.373
0.904 0.386 0.947
0.969 0.969 0.801
0.174 0.826 0.500
0.826 0.174 0.500
0.145 0.145 0.641
0.238 0.238 0.182
0.500 0.500 0.000
0.762 0.762 0.818
0.855 0.855 0.359
```

***

(9)
For Ca11C2N10, a DFT-relaxed cell (PBE, Alexandria) gives the simulated powder diffraction line list in this record (Cu Kα X-rays).
Lines closer than 0.1° are merged.

Peak list (10 most intense, 15° ≤ 2θ ≤ 90°, in order of falling intensity)
| 2theta | I (rel.) |
| --- | --- |
| 33.27 | 100 |
| 31.31 | 56 |
| 34.84 | 48 |
| 36.09 | 44 |
| 51.03 | 42 |
| 30.22 | 37 |
| 39.74 | 26 |
| 50.52 | 24 |
| 62.84 | 17 |
| 60.65 | 16 |

Atomic structure:
```
Ca11C2N10
1.0
14.567 0.000 0.000
0.000 14.567 0.000
0.000 0.000 3.613
Ca C N
22 4 20
Direct
0.000 0.000 0.000
0.020 0.205 0.500
0.106 0.618 0.500
0.118 0.394 0.000
0.167 0.833 0.000
0.205 0.020 0.500
0.295 0.520 0.000
0.333 0.333 0.500
0.382 0.894 0.500
0.394 0.118 0.000
0.480 0.705 0.000
0.500 0.500 0.500
0.520 0.295 0.000
0.606 0.882 0.000
0.618 0.106 0.500
0.667 0.667 0.500
0.705 0.480 0.000
0.795 0.980 0.500
0.833 0.167 0.000
0.882 0.606 0.000
0.894 0.382 0.500
0.980 0.795 0.500
0.184 0.184 0.000
0.316 0.684 0.500
0.684 0.316 0.500
0.816 0.816 0.000
0.028 0.689 0.000
0.090 0.910 0.500
0.124 0.124 0.000
0.189 0.472 0.500
0.244 0.244 0.000
0.256 0.744 0.500
0.311 0.972 0.000
0.376 0.624 0.500
0.410 0.410 0.000
0.472 0.189 0.500
0.528 0.811 0.500
0.590 0.590 0.000
0.624 0.376 0.500
0.689 0.028 0.000
0.744 0.256 0.500
0.756 0.756 0.000
0.811 0.528 0.500
0.876 0.876 0.000
0.910 0.090 0.500
0.972 0.311 0.000
```

***

(10)
For CeIrPd, a DFT-relaxed cell (PBE, Alexandria) gives the simulated powder diffraction line list in this record (Cu Kα X-rays).
Lines closer than 0.1° are merged.

Peak list (10 most intense, 15° ≤ 2θ ≤ 90°, in order of falling intensity)
| 2theta | I (rel.) |
| --- | --- |
| 39.02 | 100 |
| 21.18 | 45 |
| 32.39 | 32 |
| 43.06 | 19 |
| 43.26 | 19 |
| 76.22 | 14 |
| 76.51 | 14 |
| 49.56 | 13 |
| 62.69 | 12 |
| 83.83 | 11 |

Atomic structure:
```
CeIrPd
1.0
3.679 0.000 0.000
0.000 4.183 0.000
0.000 0.000 4.201
Ce Ir Pd
1 1 1
Direct
0.000 0.000 0.000
0.500 0.500 0.000
0.000 0.500 0.500
```

***

(11)
For Rb3Ag2GeI9, a DFT-relaxed cell (PBE, Alexandria) gives the simulated powder diffraction line list in this record (Cu Kα X-rays).
Lines closer than 0.1° are merged.

Peak list (10 most intense, 15° ≤ 2θ ≤ 90°, in order of falling intensity)
| 2theta | I (rel.) |
| --- | --- |
| 30.48 | 100 |
| 26.37 | 60 |
| 43.48 | 37 |
| 43.80 | 36 |
| 15.10 | 33 |
| 26.13 | 21 |
| 54.29 | 19 |
| 51.71 | 18 |
| 71.76 | 16 |
| 72.22 | 16 |

Atomic structure:
```
Rb3Ag2GeI9
1.0
8.268 0.000 0.000
-4.134 7.160 0.000
0.000 0.000 10.232
Rb Ag Ge I
3 2 1 9
Direct
0.000 0.000 0.000
0.333 0.667 0.672
0.667 0.333 0.328
0.333 0.667 0.164
0.667 0.333 0.836
0.000 0.000 0.500
0.000 0.500 0.000
0.166 0.331 0.337
0.166 0.834 0.337
0.331 0.166 0.663
0.500 0.000 0.000
0.500 0.500 0.000
0.669 0.834 0.337
0.834 0.166 0.663
0.834 0.669 0.663
```